(1)
Starting from the GGA-PBE geometry in the Materials Project, the powder diffractogram of Sr4MnN4 was computed for a wavelength of 1.5418 Å.
Kinematic intensities with the Lorentz-polarization factor, no thermal factor.

Structural model:
```
Sr4MnN4
1.0
11.762 0.000 0.000
0.000 5.260 0.000
0.000 0.000 11.572
Sr Mn N
16 4 16
Direct
0.055 0.250 0.110 Sr
0.094 0.750 0.316 Sr
0.136 0.750 0.663 Sr
0.228 0.250 0.476 Sr
0.272 0.750 0.976 Sr
0.364 0.250 0.163 Sr
0.406 0.250 0.816 Sr
0.445 0.750 0.610 Sr
0.555 0.250 0.390 Sr
0.594 0.750 0.184 Sr
0.636 0.750 0.837 Sr
0.728 0.250 0.024 Sr
0.772 0.750 0.524 Sr
0.864 0.250 0.337 Sr
0.906 0.250 0.684 Sr
0.945 0.750 0.890 Sr
0.135 0.250 0.852 Mn
0.365 0.750 0.352 Mn
0.635 0.250 0.648 Mn
0.865 0.750 0.148 Mn
0.004 0.750 0.109 N
0.070 0.250 0.334 N
0.178 0.250 0.711 N
0.233 0.250 0.969 N
0.267 0.750 0.469 N
0.322 0.750 0.211 N
0.430 0.750 0.834 N
0.496 0.250 0.609 N
0.504 0.750 0.391 N
0.570 0.250 0.166 N
0.678 0.250 0.789 N
0.733 0.250 0.531 N
0.767 0.750 0.031 N
0.822 0.750 0.289 N
0.930 0.750 0.666 N
0.996 0.250 0.891 N
```

Most intense lines, 2θ = 10–90°, in order of rising 2θ:
2θ 21.5, I 19
2θ 27.5, I 27
2θ 29.4, I 83
2θ 29.7, I 100
2θ 31.4, I 25
2θ 32.4, I 28
2θ 34.1, I 78
2θ 34.2, I 25
2θ 47.0, I 20
2θ 60.0, I 23

---

(2)
Starting from the GGA-PBE geometry in the Materials Project, the powder diffractogram of ZrBeSi was computed for a wavelength of 1.5418 Å.
Kinematic intensities with the Lorentz-polarization factor, no thermal factor.

Structural model:
```
ZrBeSi
1.0
3.745 0.000 0.000
-1.872 3.243 0.000
0.000 0.000 7.255
Zr Be Si
2 2 2
Direct
0.000 0.000 0.000 Zr
0.000 0.000 0.500 Zr
0.333 0.667 0.250 Be
0.667 0.333 0.750 Be
0.333 0.667 0.750 Si
0.667 0.333 0.250 Si
```

Most intense lines, 2θ = 10–90°, in order of rising 2θ:
2θ 24.5, I 13
2θ 27.5, I 53
2θ 37.2, I 100
2θ 48.6, I 30
2θ 50.3, I 9
2θ 55.2, I 9
2θ 58.3, I 13
2θ 62.8, I 21
2θ 72.6, I 18
2θ 83.2, I 18

---

(3)
Starting from the GGA-PBE geometry in the Materials Project, the powder diffractogram of GdAl3B4O12 was computed for a wavelength of 1.5418 Å.
Kinematic intensities with the Lorentz-polarization factor, no thermal factor.

Structural model:
```
GdAl3B4O12
1.0
3.646 -4.696 0.000
3.646 4.696 0.000
-0.201 0.000 16.339
Gd Al B O
3 9 12 36
Direct
0.000 0.000 0.000 Gd
0.099 0.241 0.668 Gd
0.759 0.901 0.332 Gd
0.176 0.749 0.185 Al
0.208 0.458 0.334 Al
0.251 0.824 0.815 Al
0.503 0.089 0.519 Al
0.542 0.792 0.666 Al
0.553 0.447 0.000 Al
0.586 0.155 0.148 Al
0.845 0.414 0.852 Al
0.911 0.497 0.481 Al
0.021 0.719 0.648 B
0.074 0.520 0.018 B
0.102 0.230 0.170 B
0.281 0.979 0.352 B
0.326 0.340 0.837 B
0.430 0.570 0.500 B
0.480 0.926 0.982 B
0.616 0.313 0.685 B
0.660 0.674 0.163 B
0.687 0.384 0.315 B
0.770 0.898 0.830 B
0.986 0.014 0.500 B
0.104 0.699 0.074 O
0.146 0.133 0.341 O
0.154 0.433 0.216 O
0.180 0.491 0.832 O
0.193 0.084 0.542 O
0.220 0.765 0.697 O
0.229 0.386 0.006 O
0.231 0.520 0.451 O
0.235 0.780 0.303 O
0.253 0.085 0.166 O
0.259 0.138 0.791 O
0.301 0.896 0.926 O
0.461 0.006 0.408 O
0.480 0.769 0.549 O
0.483 0.469 0.674 O
0.509 0.820 0.168 O
0.526 0.126 0.030 O
0.530 0.394 0.882 O
0.531 0.517 0.326 O
0.566 0.114 0.636 O
0.567 0.846 0.784 O
0.578 0.422 0.500 O
0.606 0.470 0.118 O
0.614 0.771 0.994 O
0.659 0.204 0.259 O
0.796 0.341 0.741 O
0.836 0.100 0.877 O
0.838 0.162 0.500 O
0.862 0.741 0.209 O
0.867 0.854 0.659 O
0.874 0.474 0.970 O
0.886 0.434 0.364 O
0.900 0.164 0.123 O
0.915 0.747 0.834 O
0.916 0.807 0.458 O
0.994 0.539 0.592 O
```

Most intense lines, 2θ = 10–90°, in order of rising 2θ:
2θ 15.4, I 28
2θ 16.3, I 41
2θ 16.4, I 27
2θ 25.0, I 39
2θ 25.1, I 23
2θ 31.6, I 20
2θ 32.9, I 100
2θ 33.1, I 20
2θ 38.2, I 25
2θ 54.2, I 23

---

(4)
Starting from the GGA-PBE geometry in the Materials Project, the powder diffractogram of Sr3Sn3Au8 was computed for a wavelength of 1.5418 Å.
Kinematic intensities with the Lorentz-polarization factor, no thermal factor.

Structural model:
```
Sr3Sn3Au8
1.0
9.803 0.000 0.000
0.000 14.270 0.000
0.000 0.000 4.806
Sr Sn Au
6 6 16
Direct
0.000 0.000 0.000 Sr
0.005 0.304 0.000 Sr
0.495 0.804 0.500 Sr
0.500 0.500 0.500 Sr
0.505 0.196 0.500 Sr
0.995 0.696 0.000 Sr
0.000 0.500 0.500 Sn
0.155 0.173 0.500 Sn
0.345 0.673 0.000 Sn
0.500 0.000 0.000 Sn
0.655 0.327 0.000 Sn
0.845 0.827 0.500 Sn
0.124 0.841 0.500 Au
0.198 0.498 0.000 Au
0.216 0.365 0.500 Au
0.221 0.627 0.500 Au
0.279 0.127 0.000 Au
0.284 0.865 0.000 Au
0.302 0.998 0.500 Au
0.376 0.341 0.000 Au
0.624 0.659 0.000 Au
0.698 0.002 0.500 Au
0.716 0.135 0.000 Au
0.721 0.873 0.000 Au
0.779 0.373 0.500 Au
0.784 0.635 0.500 Au
0.802 0.502 0.000 Au
0.876 0.159 0.500 Au
```

Most intense lines, 2θ = 10–90°, in order of rising 2θ:
2θ 18.1, I 40
2θ 32.2, I 100
2θ 32.6, I 20
2θ 33.2, I 20
2θ 35.5, I 35
2θ 36.6, I 33
2θ 37.4, I 61
2θ 37.8, I 26
2θ 41.1, I 26
2θ 41.9, I 68

---

(5)
Starting from the GGA-PBE geometry in the Materials Project, the powder diffractogram of Tb3Ni13B2 was computed for a wavelength of 1.5418 Å.
Kinematic intensities with the Lorentz-polarization factor, no thermal factor.

Structural model:
```
Tb3Ni13B2
1.0
4.939 0.000 0.000
-2.470 4.277 0.000
0.000 0.000 10.911
Tb Ni B
3 13 2
Direct
0.000 0.000 0.000 Tb
0.000 0.000 0.328 Tb
0.000 0.000 0.672 Tb
0.000 0.500 0.134 Ni
0.000 0.500 0.500 Ni
0.000 0.500 0.866 Ni
0.333 0.667 0.319 Ni
0.333 0.667 0.681 Ni
0.500 0.000 0.134 Ni
0.500 0.000 0.500 Ni
0.500 0.000 0.866 Ni
0.500 0.500 0.134 Ni
0.500 0.500 0.500 Ni
0.500 0.500 0.866 Ni
0.667 0.333 0.319 Ni
0.667 0.333 0.681 Ni
0.333 0.667 0.000 B
0.667 0.333 0.000 B
```

Most intense lines, 2θ = 10–90°, in order of rising 2θ:
2θ 32.3, I 76
2θ 36.4, I 33
2θ 42.3, I 59
2θ 44.3, I 100
2θ 50.2, I 15
2θ 62.9, I 22
2θ 63.5, I 15
2θ 67.6, I 15
2θ 71.0, I 23
2θ 77.3, I 19

---

(6)
Starting from the GGA-PBE geometry in the Materials Project, the powder diffractogram of Eu2ReO5 was computed for a wavelength of 1.5418 Å.
Kinematic intensities with the Lorentz-polarization factor, no thermal factor.

Structural model:
```
Eu2ReO5
1.0
8.780 0.000 0.000
0.000 8.780 0.000
0.000 0.000 5.980
Eu Re O
8 4 20
Direct
0.103 0.890 0.248 Eu
0.110 0.603 0.752 Eu
0.390 0.897 0.752 Eu
0.397 0.610 0.248 Eu
0.603 0.390 0.752 Eu
0.610 0.103 0.248 Eu
0.890 0.397 0.248 Eu
0.897 0.110 0.752 Eu
0.250 0.250 0.145 Re
0.250 0.250 0.548 Re
0.750 0.750 0.452 Re
0.750 0.750 0.855 Re
0.057 0.161 0.092 O
0.057 0.338 0.607 O
0.161 0.443 0.092 O
0.162 0.057 0.607 O
0.250 0.750 0.000 O
0.250 0.750 0.500 O
0.338 0.443 0.607 O
0.339 0.057 0.092 O
0.443 0.162 0.607 O
0.443 0.339 0.092 O
0.557 0.661 0.908 O
0.557 0.838 0.393 O
0.661 0.943 0.908 O
0.662 0.557 0.393 O
0.750 0.250 0.000 O
0.750 0.250 0.500 O
0.838 0.943 0.393 O
0.839 0.557 0.908 O
0.943 0.662 0.393 O
0.943 0.839 0.908 O
```

Most intense lines, 2θ = 10–90°, in order of rising 2θ:
2θ 27.2, I 100
2θ 28.8, I 15
2θ 31.6, I 21
2θ 32.2, I 60
2θ 33.3, I 14
2θ 40.0, I 16
2θ 46.2, I 18
2θ 51.4, I 21
2θ 51.7, I 18
2θ 58.7, I 18

---

(7)
Starting from the GGA-PBE geometry in the Materials Project, the powder diffractogram of RbTmS2 was computed for a wavelength of 1.5418 Å.
Kinematic intensities with the Lorentz-polarization factor, no thermal factor.

Structural model:
```
RbTmS2
1.0
4.027 0.000 0.000
-2.014 3.487 0.000
0.000 0.000 23.009
Rb Tm S
3 3 6
Direct
0.000 0.000 0.000 Rb
0.333 0.667 0.667 Rb
0.667 0.333 0.333 Rb
0.000 0.000 0.500 Tm
0.333 0.667 0.167 Tm
0.667 0.333 0.833 Tm
0.000 0.000 0.230 S
0.000 0.000 0.770 S
0.333 0.667 0.437 S
0.333 0.667 0.897 S
0.667 0.333 0.103 S
0.667 0.333 0.563 S
```

Most intense lines, 2θ = 10–90°, in order of rising 2θ:
2θ 11.5, I 36
2θ 23.2, I 27
2θ 26.7, I 48
2θ 30.0, I 100
2θ 40.7, I 37
2θ 45.0, I 33
2θ 47.4, I 22
2θ 51.2, I 20
2θ 55.0, I 17
2θ 67.4, I 19

---

(8)
Starting from the GGA-PBE geometry in the Materials Project, the powder diffractogram of Pr2IrPd was computed for a wavelength of 1.5418 Å.
Kinematic intensities with the Lorentz-polarization factor, no thermal factor.

Structural model:
```
Pr2IrPd
1.0
7.216 0.000 0.000
0.000 7.216 0.000
0.000 0.000 7.216
Pr Ir Pd
8 4 4
Direct
0.250 0.250 0.250 Pr
0.250 0.250 0.750 Pr
0.250 0.750 0.250 Pr
0.250 0.750 0.750 Pr
0.750 0.250 0.250 Pr
0.750 0.250 0.750 Pr
0.750 0.750 0.250 Pr
0.750 0.750 0.750 Pr
0.000 0.000 0.000 Ir
0.000 0.500 0.500 Ir
0.500 0.000 0.500 Ir
0.500 0.500 0.000 Ir
0.000 0.000 0.500 Pd
0.000 0.500 0.000 Pd
0.500 0.000 0.000 Pd
0.500 0.500 0.500 Pd
```

Most intense lines, 2θ = 10–90°, in order of rising 2θ:
2θ 21.3, I 4
2θ 35.2, I 100
2θ 41.5, I 2
2θ 50.6, I 18
2θ 55.5, I 1
2θ 63.1, I 37
2θ 67.4, I 1
2θ 74.4, I 11
2θ 78.4, I 1
2θ 85.0, I 16

---

(9)
Starting from the GGA-PBE geometry in the Materials Project, the powder diffractogram of Na3La was computed for a wavelength of 1.5418 Å.
Kinematic intensities with the Lorentz-polarization factor, no thermal factor.

Structural model:
```
Na3La
1.0
7.538 0.000 0.000
-3.769 6.528 0.000
0.000 0.000 5.897
Na La
6 2
Direct
0.160 0.320 0.250 Na
0.160 0.840 0.250 Na
0.320 0.160 0.750 Na
0.680 0.840 0.250 Na
0.840 0.160 0.750 Na
0.840 0.680 0.750 Na
0.333 0.667 0.750 La
0.667 0.333 0.250 La
```

Most intense lines, 2θ = 10–90°, in order of rising 2θ:
2θ 13.6, I 30
2θ 20.3, I 87
2θ 23.6, I 39
2θ 27.3, I 24
2θ 30.3, I 24
2θ 31.3, I 100
2θ 38.8, I 21
2θ 39.6, I 28
2θ 48.3, I 28
2θ 58.1, I 22

---

(10)
Starting from the GGA-PBE geometry in the Materials Project, the powder diffractogram of Sm4NiS7 was computed for a wavelength of 1.5418 Å.
Kinematic intensities with the Lorentz-polarization factor, no thermal factor.

Structural model:
```
Sm4NiS7
1.0
9.758 0.000 0.000
-4.879 8.451 0.000
0.000 0.000 6.683
Sm Ni S
8 2 14
Direct
0.145 0.772 0.000 Sm
0.228 0.373 0.000 Sm
0.333 0.667 0.543 Sm
0.373 0.145 0.500 Sm
0.627 0.855 0.000 Sm
0.667 0.333 0.043 Sm
0.772 0.627 0.500 Sm
0.855 0.228 0.500 Sm
0.000 0.000 0.194 Ni
0.000 0.000 0.694 Ni
0.072 0.503 0.755 S
0.091 0.867 0.419 S
0.133 0.224 0.419 S
0.224 0.091 0.919 S
0.333 0.667 0.152 S
0.431 0.928 0.755 S
0.497 0.569 0.755 S
0.503 0.431 0.255 S
0.569 0.072 0.255 S
0.667 0.333 0.652 S
0.776 0.909 0.419 S
0.867 0.776 0.919 S
0.909 0.133 0.919 S
0.928 0.497 0.255 S
```

Most intense lines, 2θ = 10–90°, in order of rising 2θ:
2θ 22.6, I 16
2θ 24.9, I 100
2θ 26.7, I 20
2θ 31.0, I 13
2θ 34.2, I 41
2θ 34.6, I 17
2θ 36.8, I 34
2θ 39.0, I 14
2θ 40.8, I 15
2θ 46.1, I 41